Starting from a crystal structure in Alexandria, relaxed with GGA-PBE, the powder diffraction line list of TiNb2Mo4W2 was computed for Cu Ka.

Crystal structure
```
data_TiNb2Mo4W2
_chemical_formula_sum 'Ti2 Nb4 Mo8 W4'
_cell_length_a 13.6553
_cell_length_b 3.1949
_cell_length_c 7.1273
_cell_angle_alpha 90.00
_cell_angle_beta 108.60
_cell_angle_gamma 90.00
_symmetry_space_group_name_H-M 'C 1 2/m 1'
_symmetry_Int_Tables_number 12
_symmetry_space_group_name_Hall '-C 2y'
loop_
_atom_site_label
_atom_site_fract_x
_atom_site_fract_y
_atom_site_fract_z
Ti1 0.0000 0.0000 0.0000
Nb1 0.1669 0.5000 0.0010
Mo1 0.0570 0.5000 0.3390
Mo2 0.2215 0.0000 0.3383
W1 0.1090 0.0000 0.6620
```

Main lines, by intensity (2θ = 5–70°):
2θ = 39.86°, rel. 100, hkl 3 1 1
2θ = 39.60°, rel. 25, hkl 6 0 -1
2θ = 40.04°, rel. 25, hkl 0 0 3
2θ = 57.58°, rel. 17, hkl 6 0 -4
2θ = 15.65°, rel. 10, hkl 2 0 -1
2θ = 13.11°, rel. 9, hkl 0 0 1
2θ = 57.71°, rel. 8, hkl 0 2 0
2θ = 30.79°, rel. 4, hkl 1 1 -1
2θ = 27.57°, rel. 3, hkl 4 0 0
2θ = 34.95°, rel. 2, hkl 3 1 -1

Starting from a crystal structure in Alexandria, relaxed with GGA-PBE, the powder diffraction line list of NbVMo3 was computed for Cu Ka.

Crystal structure
```
data_NbVMo3
_chemical_formula_sum 'Nb4 V4 Mo12'
_cell_length_a 9.4417
_cell_length_b 4.4726
_cell_length_c 7.7899
_cell_angle_alpha 90.00
_cell_angle_beta 105.98
_cell_angle_gamma 90.00
_symmetry_space_group_name_H-M 'C 1 2/m 1'
_symmetry_Int_Tables_number 12
_symmetry_space_group_name_Hall '-C 2y'
loop_
_atom_site_label
_atom_site_fract_x
_atom_site_fract_y
_atom_site_fract_z
Nb1 0.0506 0.0000 0.3460
V1 0.0510 0.5000 0.8550
Mo1 0.1478 0.5000 0.5516
Mo2 0.1495 0.0000 0.0475
Mo3 0.2481 0.5000 0.2453
```

Main lines, by intensity (2θ = 5–70°):
2θ = 40.16°, rel. 100, hkl 1 1 -3
2θ = 40.37°, rel. 99, hkl 0 2 0
2θ = 40.48°, rel. 98, hkl 3 1 1
2θ = 58.42°, rel. 32, hkl 4 2 -2
2θ = 58.25°, rel. 16, hkl 2 0 4
2θ = 26.42°, rel. 4, hkl 1 1 1
2θ = 22.16°, rel. 4, hkl 1 1 0
2θ = 19.56°, rel. 2, hkl 2 0 0
2θ = 25.60°, rel. 2, hkl 2 0 1
2θ = 11.82°, rel. 2, hkl 0 0 1

Starting from a crystal structure in Alexandria, relaxed with GGA-PBE, the powder diffraction line list of NbV6Mo2 was computed for Cu Ka.

Crystal structure
```
data_NbV6Mo2
_chemical_formula_sum 'Nb2 V12 Mo4'
_cell_length_a 9.6611
_cell_length_b 3.0790
_cell_length_c 9.2237
_cell_angle_alpha 90.00
_cell_angle_beta 107.18
_cell_angle_gamma 90.00
_symmetry_space_group_name_H-M 'C 1 2/m 1'
_symmetry_Int_Tables_number 12
_symmetry_space_group_name_Hall '-C 2y'
loop_
_atom_site_label
_atom_site_fract_x
_atom_site_fract_y
_atom_site_fract_z
Nb1 0.0000 0.0000 0.0000
V1 0.0089 0.0000 0.3409
V2 0.1626 0.5000 0.5560
V3 0.1668 0.5000 0.8806
Mo1 0.1760 0.5000 0.2314
```

Main lines, by intensity (2θ = 5–70°):
2θ = 41.50°, rel. 100, hkl 1 1 -3
2θ = 41.00°, rel. 26, hkl 2 0 3
2θ = 42.05°, rel. 24, hkl 4 0 -3
2θ = 60.12°, rel. 15, hkl 0 2 0
2θ = 60.22°, rel. 8, hkl 2 0 -6
2θ = 18.89°, rel. 6, hkl 2 0 -1
2θ = 23.44°, rel. 5, hkl 2 0 -2
2θ = 33.20°, rel. 4, hkl 1 1 1
2θ = 10.04°, rel. 4, hkl 0 0 1
2θ = 31.96°, rel. 3, hkl 2 0 2

Starting from a crystal structure in Alexandria, relaxed with GGA-PBE, the powder diffraction line list of Nb2VMo2 was computed for Cu Ka.

Crystal structure
```
data_Nb2VMo2
_chemical_formula_sum 'Nb4 V2 Mo4'
_cell_length_a 7.7730
_cell_length_b 4.4799
_cell_length_c 5.3420
_cell_angle_alpha 90.00
_cell_angle_beta 118.88
_cell_angle_gamma 90.00
_symmetry_space_group_name_H-M 'C 1 2/m 1'
_symmetry_Int_Tables_number 12
_symmetry_space_group_name_Hall '-C 2y'
loop_
_atom_site_label
_atom_site_fract_x
_atom_site_fract_y
_atom_site_fract_z
Nb1 0.2043 0.0000 0.1133
V1 0.0000 0.0000 0.5000
Mo1 0.1001 0.5000 0.3004
```

Main lines, by intensity (2θ = 5–70°):
2θ = 39.62°, rel. 100, hkl 2 0 1
2θ = 40.23°, rel. 96, hkl 0 2 0
2θ = 57.74°, rel. 32, hkl 2 2 1
2θ = 23.78°, rel. 6, hkl 2 0 -1
2θ = 26.23°, rel. 4, hkl 1 1 -1
2θ = 56.93°, rel. 2, hkl 3 1 -3
2θ = 18.97°, rel. 1, hkl 0 0 1
2θ = 38.49°, rel. 1, hkl 0 0 2
2θ = 51.29°, rel. 1, hkl 2 0 -3
2θ = 47.26°, rel. 1, hkl 2 2 -1

Starting from a crystal structure in Alexandria, relaxed with GGA-PBE, the powder diffraction line list of Nb2V5Mo12 was computed for Cu Ka.

Crystal structure
```
data_Nb2V5Mo12
_chemical_formula_sum 'Nb4 V10 Mo24'
_cell_length_a 4.4290
_cell_length_b 8.7071
_cell_length_c 15.7221
_cell_angle_alpha 90.00
_cell_angle_beta 90.00
_cell_angle_gamma 90.00
_symmetry_space_group_name_H-M 'I m m m'
_symmetry_Int_Tables_number 71
_symmetry_space_group_name_Hall '-I 2 2'
loop_
_atom_site_label
_atom_site_fract_x
_atom_site_fract_y
_atom_site_fract_z
Nb1 0.0000 0.2480 0.0000
V1 0.0000 0.0000 0.3012
V2 0.0000 0.0000 0.5000
V3 0.0000 0.5000 0.2983
Mo1 0.0000 0.0000 0.1035
Mo2 0.0000 0.2479 0.2009
Mo3 0.0000 0.2561 0.3986
Mo4 0.0000 0.5000 0.1021
```

Main lines, by intensity (2θ = 5–70°):
2θ = 40.85°, rel. 100, hkl 1 2 5
2θ = 40.75°, rel. 25, hkl 2 0 0
2θ = 41.48°, rel. 24, hkl 0 4 0
2θ = 59.55°, rel. 16, hkl 2 4 0
2θ = 58.73°, rel. 8, hkl 0 0 10
2θ = 20.40°, rel. 6, hkl 0 2 0
2θ = 20.84°, rel. 4, hkl 1 0 1
2θ = 29.32°, rel. 4, hkl 1 2 1
2θ = 35.00°, rel. 3, hkl 1 0 5
2θ = 22.61°, rel. 2, hkl 0 0 4

Starting from a crystal structure in Alexandria, relaxed with GGA-PBE, the powder diffraction line list of Nb2VMo2 was computed for Cu Ka.

Crystal structure
```
data_Nb2VMo2
_chemical_formula_sum 'Nb8 V4 Mo8'
_cell_length_a 4.5657
_cell_length_b 13.7029
_cell_length_c 5.3271
_cell_angle_alpha 90.00
_cell_angle_beta 90.00
_cell_angle_gamma 90.00
_symmetry_space_group_name_H-M 'C m c 21'
_symmetry_Int_Tables_number 36
_symmetry_space_group_name_Hall 'C 2c -2'
loop_
_atom_site_label
_atom_site_fract_x
_atom_site_fract_y
_atom_site_fract_z
Nb1 0.0000 0.0015 0.0000
Nb2 0.0000 0.1970 0.3435
V1 0.0000 0.3929 0.1788
Mo1 0.0000 0.1927 0.8364
Mo2 0.0000 0.4022 0.6823
```

Main lines, by intensity (2θ = 5–70°):
2θ = 38.31°, rel. 100, hkl 1 5 0
2θ = 39.47°, rel. 48, hkl 2 0 0
2θ = 39.73°, rel. 42, hkl 1 1 2
2θ = 44.07°, rel. 38, hkl 1 3 2
2θ = 36.18°, rel. 28, hkl 0 2 2
2θ = 54.62°, rel. 17, hkl 2 2 2
2θ = 43.02°, rel. 16, hkl 0 4 2
2θ = 52.80°, rel. 12, hkl 0 6 2
2θ = 59.80°, rel. 11, hkl 2 4 2
2θ = 62.27°, rel. 9, hkl 1 7 2

Starting from a crystal structure in Alexandria, relaxed with GGA-PBE, the powder diffraction line list of Nb4VMo3 was computed for Cu Ka.

Crystal structure
```
data_Nb4VMo3
_chemical_formula_sum 'Nb4 V1 Mo3'
_cell_length_a 3.2262
_cell_length_b 4.5516
_cell_length_c 9.1020
_cell_angle_alpha 90.00
_cell_angle_beta 90.00
_cell_angle_gamma 90.00
_symmetry_space_group_name_H-M 'P m m m'
_symmetry_Int_Tables_number 47
_symmetry_space_group_name_Hall '-P 2 2'
loop_
_atom_site_label
_atom_site_fract_x
_atom_site_fract_y
_atom_site_fract_z
Nb1 0.0000 0.0000 0.0000
Nb2 0.0000 0.0000 0.5000
Nb3 0.0000 0.5000 0.2486
V1 0.5000 0.5000 0.0000
Mo1 0.5000 0.0000 0.2460
Mo2 0.5000 0.5000 0.5000
```

Main lines, by intensity (2θ = 5–70°):
2θ = 39.57°, rel. 100, hkl 1 1 2
2θ = 57.25°, rel. 11, hkl 0 2 4
2θ = 57.10°, rel. 5, hkl 2 0 0
2θ = 9.72°, rel. 1, hkl 0 0 1
2θ = 19.50°, rel. 1, hkl 0 1 0
2θ = 21.83°, rel. 1, hkl 0 1 1
2θ = 35.52°, rel. 1, hkl 1 1 1
2θ = 29.41°, rel. 1, hkl 0 0 3

Starting from a crystal structure in Alexandria, relaxed with GGA-PBE, the powder diffraction line list of NbV2Mo8 was computed for Cu Ka.

Crystal structure
```
data_NbV2Mo8
_chemical_formula_sum 'Nb1 V2 Mo8'
_cell_length_a 5.2351
_cell_length_b 5.4076
_cell_length_c 7.0941
_cell_angle_alpha 75.94
_cell_angle_beta 75.79
_cell_angle_gamma 70.94
_symmetry_space_group_name_H-M 'P -1'
_symmetry_Int_Tables_number 2
_symmetry_space_group_name_Hall '-P 1'
loop_
_atom_site_label
_atom_site_fract_x
_atom_site_fract_y
_atom_site_fract_z
Nb1 0.0000 0.0000 0.0000
V1 0.0826 0.3437 0.6584
Mo1 0.0846 0.8277 0.6619
Mo2 0.2626 0.4639 0.0004
Mo3 0.4121 0.6672 0.3303
Mo4 0.4254 0.1602 0.3293
```

Main lines, by intensity (2θ = 5–70°):
2θ = 41.66°, rel. 100, hkl 2 0 2
2θ = 39.97°, rel. 59, hkl 0 0 3
2θ = 40.42°, rel. 55, hkl 0 2 -1
2θ = 40.72°, rel. 53, hkl 0 2 2
2θ = 20.04°, rel. 13, hkl 0 1 1
2θ = 36.16°, rel. 12, hkl 2 1 0
2θ = 58.95°, rel. 11, hkl 2 2 -2
2θ = 59.32°, rel. 11, hkl 2 2 4
2θ = 59.93°, rel. 10, hkl 2 -2 0
2θ = 36.94°, rel. 9, hkl 2 0 0

Starting from a crystal structure in Alexandria, relaxed with GGA-PBE, the powder diffraction line list of Nb2V5Mo2 was computed for Cu Ka.

Crystal structure
```
data_Nb2V5Mo2
_chemical_formula_sum 'Nb2 V5 Mo2'
_cell_length_a 2.9001
_cell_length_b 6.5650
_cell_length_c 7.3619
_cell_angle_alpha 99.08
_cell_angle_beta 90.34
_cell_angle_gamma 95.78
_symmetry_space_group_name_H-M 'P -1'
_symmetry_Int_Tables_number 2
_symmetry_space_group_name_Hall '-P 1'
loop_
_atom_site_label
_atom_site_fract_x
_atom_site_fract_y
_atom_site_fract_z
Nb1 0.2189 0.3935 0.1381
V1 0.1246 0.2593 0.6890
V2 0.2793 0.8973 0.0855
V3 0.5000 0.5000 0.5000
Mo1 0.2911 0.8844 0.6305
```

Main lines, by intensity (2θ = 5–70°):
2θ = 40.35°, rel. 100, hkl 1 0 2
2θ = 39.73°, rel. 96, hkl 1 -2 0
2θ = 40.24°, rel. 93, hkl 0 2 2
2θ = 37.52°, rel. 53, hkl 0 1 -3
2θ = 41.89°, rel. 50, hkl 0 3 -1
2θ = 34.11°, rel. 50, hkl 0 2 -2
2θ = 36.53°, rel. 49, hkl 1 1 -1
2θ = 39.45°, rel. 44, hkl 1 0 -2
2θ = 19.81°, rel. 29, hkl 0 1 1
2θ = 44.23°, rel. 24, hkl 1 2 0

Starting from a crystal structure in Alexandria, relaxed with GGA-PBE, the powder diffraction line list of Nb2VMo8 was computed for Cu Ka.

Crystal structure
```
data_Nb2VMo8
_chemical_formula_sum 'Nb2 V1 Mo8'
_cell_length_a 2.7585
_cell_length_b 6.9278
_cell_length_c 9.3727
_cell_angle_alpha 92.08
_cell_angle_beta 95.72
_cell_angle_gamma 97.74
_symmetry_space_group_name_H-M 'P 1'
_symmetry_Int_Tables_number 1
_symmetry_space_group_name_Hall 'P 1'
loop_
_atom_site_label
_atom_site_fract_x
_atom_site_fract_y
_atom_site_fract_z
Nb1 0.0000 0.0000 0.0000
Nb2 0.2819 0.4587 0.3672
V1 0.1844 0.6361 0.9085
Mo1 0.0990 0.8236 0.4583
Mo2 0.3722 0.2811 0.8201
Mo3 0.4634 0.0928 0.2760
Mo4 0.5496 0.9102 0.7290
Mo5 0.6405 0.7290 0.1811
Mo6 0.7361 0.5501 0.6437
Mo7 0.8186 0.3708 0.0886
Mo8 0.9135 0.1827 0.5499
```

Main lines, by intensity (2θ = 5–70°):
2θ = 40.15°, rel. 100, hkl 1 0 2
2θ = 40.06°, rel. 67, hkl 1 1 -2
2θ = 40.27°, rel. 33, hkl 0 1 -4
2θ = 58.08°, rel. 22, hkl 1 3 1
2θ = 58.04°, rel. 11, hkl -1 1 5
2θ = 9.50°, rel. 1, hkl 0 0 1
2θ = 12.91°, rel. 1, hkl 0 1 0
2θ = 15.66°, rel. 1, hkl 0 1 -1

Starting from a crystal structure in Alexandria, relaxed with GGA-PBE, the powder diffraction line list of Nb2VMo6W3 was computed for Cu Ka.

Crystal structure
```
data_Nb2VMo6W3
_chemical_formula_sum 'Nb4 V2 Mo12 W6'
_cell_length_a 4.5063
_cell_length_b 8.9722
_cell_length_c 9.5492
_cell_angle_alpha 90.00
_cell_angle_beta 90.00
_cell_angle_gamma 90.00
_symmetry_space_group_name_H-M 'I m m m'
_symmetry_Int_Tables_number 71
_symmetry_space_group_name_Hall '-I 2 2'
loop_
_atom_site_label
_atom_site_fract_x
_atom_site_fract_y
_atom_site_fract_z
Nb1 0.0000 0.0000 0.1684
V1 0.0000 0.0000 0.5000
Mo1 0.0000 0.2498 0.3348
Mo2 0.0000 0.2543 0.0000
W1 0.0000 0.5000 0.1630
W2 0.0000 0.5000 0.5000
```

Main lines, by intensity (2θ = 5–70°):
2θ = 40.07°, rel. 100, hkl 2 0 0
2θ = 58.00°, rel. 20, hkl 2 4 0
2θ = 40.20°, rel. 20, hkl 0 4 0
2θ = 22.07°, rel. 9, hkl 1 1 0
2θ = 29.78°, rel. 4, hkl 0 1 3
2θ = 36.04°, rel. 2, hkl 1 3 0
2θ = 19.79°, rel. 2, hkl 0 2 0
2θ = 50.67°, rel. 2, hkl 2 1 3
2θ = 41.43°, rel. 2, hkl 0 3 3
2θ = 62.76°, rel. 2, hkl 3 1 0

Starting from a crystal structure in Alexandria, relaxed with GGA-PBE, the powder diffraction line list of Nb2Mo2W was computed for Cu Ka.

Crystal structure
```
data_Nb2Mo2W
_chemical_formula_sum 'Nb4 Mo4 W2'
_cell_length_a 3.2230
_cell_length_b 4.5662
_cell_length_c 11.4947
_cell_angle_alpha 90.00
_cell_angle_beta 98.00
_cell_angle_gamma 90.00
_symmetry_space_group_name_H-M 'P 1 21/m 1'
_symmetry_Int_Tables_number 11
_symmetry_space_group_name_Hall '-P 2yb'
loop_
_atom_site_label
_atom_site_fract_x
_atom_site_fract_y
_atom_site_fract_z
Nb1 0.0498 0.2500 0.1001
Nb2 0.1501 0.7500 0.3008
Mo1 0.2486 0.2500 0.4972
Mo2 0.4490 0.2500 0.8982
W1 0.3471 0.7500 0.6939
```

Main lines, by intensity (2θ = 5–70°):
2θ = 39.52°, rel. 100, hkl 0 2 0
2θ = 57.15°, rel. 20, hkl 2 0 -1
2θ = 39.59°, rel. 20, hkl 0 0 5
2θ = 20.96°, rel. 4, hkl 0 1 1
2θ = 7.77°, rel. 3, hkl 0 0 1
2θ = 15.57°, rel. 2, hkl 0 0 2
2θ = 25.00°, rel. 2, hkl 0 1 2
2θ = 34.28°, rel. 2, hkl 1 1 -1
2θ = 30.13°, rel. 2, hkl 1 0 1
2θ = 23.45°, rel. 1, hkl 0 0 3

Starting from a crystal structure in Alexandria, relaxed with GGA-PBE, the powder diffraction line list of Nb2MoW3 was computed for Cu Ka.

Crystal structure
```
data_Nb2MoW3
_chemical_formula_sum 'Nb8 Mo4 W12'
_cell_length_a 4.5545
_cell_length_b 6.4310
_cell_length_c 13.6690
_cell_angle_alpha 90.00
_cell_angle_beta 90.00
_cell_angle_gamma 90.00
_symmetry_space_group_name_H-M 'I m m a'
_symmetry_Int_Tables_number 74
_symmetry_space_group_name_Hall '-I 2b 2'
loop_
_atom_site_label
_atom_site_fract_x
_atom_site_fract_y
_atom_site_fract_z
Nb1 0.0000 0.2500 0.9996
Nb2 0.0000 0.2500 0.3334
Mo1 0.0000 0.2500 0.6673
W1 0.0000 0.0000 0.5000
W2 0.0000 0.0044 0.8320
```

Main lines, by intensity (2θ = 5–70°):
2θ = 39.59°, rel. 100, hkl 2 0 0
2θ = 27.71°, rel. 12, hkl 1 0 3
2θ = 57.20°, rel. 11, hkl 2 0 6
2θ = 57.31°, rel. 6, hkl 0 4 0
2θ = 49.01°, rel. 4, hkl 2 2 0
2θ = 64.72°, rel. 3, hkl 3 0 3
2θ = 64.81°, rel. 2, hkl 1 4 3

Starting from a crystal structure in Alexandria, relaxed with GGA-PBE, the powder diffraction line list of Nb3Mo4W3 was computed for Cu Ka.

Crystal structure
```
data_Nb3Mo4W3
_chemical_formula_sum 'Nb6 Mo8 W6'
_cell_length_a 3.2213
_cell_length_b 10.2989
_cell_length_c 10.5366
_cell_angle_alpha 90.00
_cell_angle_beta 90.00
_cell_angle_gamma 90.00
_symmetry_space_group_name_H-M 'A m m 2'
_symmetry_Int_Tables_number 38
_symmetry_space_group_name_Hall 'A 2 -2'
loop_
_atom_site_label
_atom_site_fract_x
_atom_site_fract_y
_atom_site_fract_z
Nb1 0.0000 0.0000 0.0000
Nb2 0.0000 0.1742 0.6185
Mo1 0.5000 0.0000 0.5217
Mo2 0.5000 0.0000 0.7974
Mo3 0.5000 0.1409 0.1785
W1 0.0000 0.0000 0.3327
W2 0.5000 0.2382 0.8930
```

Main lines, by intensity (2θ = 5–70°):
2θ = 38.93°, rel. 100, hkl 0 4 2
2θ = 39.30°, rel. 53, hkl 1 3 1
2θ = 37.08°, rel. 52, hkl 1 2 2
2θ = 38.38°, rel. 42, hkl 0 2 4
2θ = 57.19°, rel. 18, hkl 2 0 0
2θ = 34.85°, rel. 17, hkl 0 4 0
2θ = 32.79°, rel. 16, hkl 1 2 0
2θ = 47.99°, rel. 12, hkl 1 2 4
2θ = 12.02°, rel. 12, hkl 0 1 1
2θ = 59.41°, rel. 12, hkl 1 5 3